Record 1
The following is a computed powder XRD pattern of KGaP2H2. It was derived from a structure optimized by DFT (GGA-PBE), using Cu Kα, 1.54184 Å.
Neutral-atom scattering factors, no anomalous dispersion.

Atomic structure:
Lattice parameters (Å, degrees): 10.9758 7.8888 6.0112 90.00 90.00 90.00
Atoms (fractional coordinates):
K (0.2156, 0.2500, 0.2294)
K (0.2844, 0.7500, 0.7294)
K (0.7156, 0.2500, 0.2706)
K (0.7844, 0.7500, 0.7706)
Ga (0.0464, 0.7500, 0.1863)
Ga (0.4536, 0.2500, 0.6863)
Ga (0.5464, 0.7500, 0.3137)
Ga (0.9536, 0.2500, 0.8137)
P (0.0555, 0.0188, 0.6355)
P (0.0555, 0.4812, 0.6355)
P (0.4445, 0.5188, 0.1355)
P (0.4445, 0.9812, 0.1355)
P (0.5555, 0.0188, 0.8645)
P (0.5555, 0.4812, 0.8645)
P (0.9445, 0.5188, 0.3645)
P (0.9445, 0.9812, 0.3645)
H (0.0143, 0.7500, 0.9231)
H (0.1908, 0.7500, 0.2224)
H (0.3092, 0.2500, 0.7224)
H (0.4857, 0.2500, 0.4231)
H (0.5143, 0.7500, 0.5769)
H (0.6908, 0.7500, 0.2776)
H (0.8092, 0.2500, 0.7776)
H (0.9857, 0.2500, 0.0769)

Top 6 peaks for 10° ≤ 2θ ≤ 90°, by intensity:
two_theta, I_rel, h k l
24.70, 100, 2 1 1
16.15, 41, 2 0 0
31.65, 40, 2 2 1
28.26, 36, 1 2 1
57.62, 21, 6 2 1
34.61, 18, 4 1 0

=====

Record 2
The following is a computed powder XRD pattern of PdPt. It was derived from a structure optimized by DFT (GGA-PBE), using Cu Kα, 1.54184 Å.
Neutral-atom scattering factors, no anomalous dispersion.

Atomic structure:
Lattice parameters (Å, degrees): 9.8423 9.8423 2.7152 90.00 90.00 90.00
Atoms (fractional coordinates):
Pd (0.0638, 0.1816, 0.0000)
Pd (0.1547, 0.6896, 0.5000)
Pd (0.1816, 0.9362, 0.0000)
Pd (0.3104, 0.1547, 0.5000)
Pd (0.6896, 0.8453, 0.5000)
Pd (0.8184, 0.0638, 0.0000)
Pd (0.8453, 0.3104, 0.5000)
Pd (0.9362, 0.8184, 0.0000)
Pt (0.1100, 0.4230, 0.5000)
Pt (0.3453, 0.3943, 0.0000)
Pt (0.3943, 0.6547, 0.0000)
Pt (0.4230, 0.8900, 0.5000)
Pt (0.5770, 0.1100, 0.5000)
Pt (0.6057, 0.3453, 0.0000)
Pt (0.6547, 0.6057, 0.0000)
Pt (0.8900, 0.5770, 0.5000)

Top 6 peaks for 10° ≤ 2θ ≤ 90°, by intensity:
two_theta, I_rel, h k l
37.68, 100, 1 4 0
35.49, 79, 1 1 1
47.21, 75, 3 2 1
44.27, 52, 3 1 1
36.52, 49, 4 0 0
46.11, 30, 4 3 0

=====

Record 3
The following is a computed powder XRD pattern of LaGa8Pd2. It was derived from a structure optimized by DFT (GGA-PBE), using Cu Kα, 1.54184 Å.
Neutral-atom scattering factors, no anomalous dispersion.

Atomic structure:
Lattice parameters (Å, degrees): 5.5960 5.5960 8.4203 90.00 90.00 90.00
Atoms (fractional coordinates):
La (0.0000, 0.0000, 0.0000)
Ga (0.2533, 0.2533, 0.2958)
Ga (0.2533, 0.2533, 0.7042)
Ga (0.2533, 0.7467, 0.2958)
Ga (0.2533, 0.7467, 0.7042)
Ga (0.7467, 0.2533, 0.2958)
Ga (0.7467, 0.2533, 0.7042)
Ga (0.7467, 0.7467, 0.2958)
Ga (0.7467, 0.7467, 0.7042)
Pd (0.0000, 0.5000, 0.5000)
Pd (0.5000, 0.0000, 0.5000)

Top 6 peaks for 10° ≤ 2θ ≤ 90°, by intensity:
two_theta, I_rel, h k l
38.64, 100, 2 0 2
45.84, 61, 2 2 0
24.86, 56, 1 1 1
10.51, 50, 0 0 1
79.99, 23, 4 2 2
64.63, 18, 2 2 4